Starting from DFT lattice parameters and positions (GGA-PBE), the powder X-ray diffraction pattern of Cd3As2 was computed for a wavelength of 1.5418 Å.

The 12 most intense peaks (2θ = 10–90°), low angle first:
d 4.582, intensity 33, (1 1 0); d 3.741, intensity 24, (1 1 1); d 3.240, intensity 19, (2 0 0); d 2.645, intensity 16, (2 1 1); d 2.291, intensity 100, (2 2 0); d 2.049, intensity 8, (3 1 0); d 1.954, intensity 12, (3 1 1); d 1.732, intensity 9, (3 2 1); d 1.620, intensity 16, (4 0 0); d 1.449, intensity 6, (4 2 0); d 1.323, intensity 33, (4 2 2); d 1.145, intensity 10, (4 4 0)

Structure:
```
Cd3As2
1.0
6.4798 0.0000 0.0000
0.0000 6.4798 0.0000
0.0000 0.0000 6.4798
Cd As
6 4
direct
0.2500 0.2500 0.7500 Cd
0.2500 0.7500 0.2500 Cd
0.2500 0.7500 0.7500 Cd
0.7500 0.2500 0.2500 Cd
0.7500 0.2500 0.7500 Cd
0.7500 0.7500 0.2500 Cd
0.0000 0.0000 0.0000 As
0.0000 0.5000 0.5000 As
0.5000 0.0000 0.5000 As
0.5000 0.5000 0.0000 As
```

=====

Starting from DFT lattice parameters and positions (GGA-PBE), the powder X-ray diffraction pattern of Cd3As2 was computed for a wavelength of 1.5418 Å.

The 12 most intense peaks (2θ = 10–90°), low angle first:
d 3.904, intensity 11, (2 1 1); d 3.738, intensity 29, (2 0 2); d 3.461, intensity 12, (2 1 2); d 3.242, intensity 12, (2 2 0); d 3.137, intensity 17, (2 0 3); d 2.970, intensity 11, (2 1 3); d 2.762, intensity 10, (3 0 2); d 2.289, intensity 100, (4 0 0); d 1.954, intensity 10, (4 2 2); d 1.711, intensity 7, (2 0 7); d 1.621, intensity 10, (4 4 0); d 1.322, intensity 15, (6 2 4)

Structure:
```
Cd3As2
1.0
9.1692 0.0000 0.0000
0.0000 9.1692 0.0000
0.0000 0.0000 12.9080
Cd As
24 16
direct
0.0055 0.7500 0.1032 Cd
0.0324 0.7500 0.6451 Cd
0.0351 0.2500 0.6325 Cd
0.2500 0.0351 0.1325 Cd
0.2500 0.4649 0.1325 Cd
0.2500 0.5055 0.3968 Cd
0.2500 0.5324 0.8549 Cd
0.2500 0.9676 0.8549 Cd
0.2500 0.9945 0.3968 Cd
0.4649 0.2500 0.6325 Cd
0.4676 0.7500 0.6451 Cd
0.4945 0.7500 0.1032 Cd
0.5055 0.2500 0.8968 Cd
0.5324 0.2500 0.3549 Cd
0.5351 0.7500 0.3675 Cd
0.7500 0.0055 0.6032 Cd
0.7500 0.0324 0.1451 Cd
0.7500 0.4676 0.1451 Cd
0.7500 0.4945 0.6032 Cd
0.7500 0.5351 0.8675 Cd
0.7500 0.9649 0.8675 Cd
0.9649 0.7500 0.3675 Cd
0.9676 0.2500 0.3549 Cd
0.9945 0.2500 0.8968 Cd
0.0059 0.5059 0.2500 As
0.0059 0.9941 0.2500 As
0.2500 0.2500 0.4919 As
0.2500 0.2500 0.9919 As
0.2500 0.7500 0.5049 As
0.2500 0.7500 0.9951 As
0.4941 0.5059 0.2500 As
0.4941 0.9941 0.2500 As
0.5059 0.0059 0.7500 As
0.5059 0.4941 0.7500 As
0.7500 0.2500 0.0049 As
0.7500 0.2500 0.4951 As
0.7500 0.7500 0.0081 As
0.7500 0.7500 0.5081 As
0.9941 0.0059 0.7500 As
0.9941 0.4941 0.7500 As
```

=====

Q: Number 2 is which compound?
A: Cd3As2